1.
For CaTiIr2, DFT lattice parameters and positions (GGA-PBE) gives the theoretical PXRD pattern in this record (Cu Kα).
Kinematic intensities with the Lorentz-polarization factor, no thermal factor.

Crystal structure
abc: 3.0896 3.0896 7.2805
angles: 90.00 90.00 90.00
Atoms (fractional coordinates):
Ca 0.0000 0.0000 0.0000
Ti 0.0000 0.0000 0.5000
Ir 0.5000 0.5000 0.2939
Ir 0.5000 0.5000 0.7061

The 12 most intense peaks (10 to 90 degrees two-theta), low angle first:
12.16 deg, d = 7.281 Å, rel. 27
24.45 deg, d = 3.640 Å, rel. 24
28.90 deg, d = 3.090 Å, rel. 51
37.04 deg, d = 2.427 Å, rel. 12
38.21 deg, d = 2.356 Å, rel. 100
41.33 deg, d = 2.185 Å, rel. 52
47.65 deg, d = 1.908 Å, rel. 26
48.60 deg, d = 1.873 Å, rel. 17
56.69 deg, d = 1.624 Å, rel. 14
59.87 deg, d = 1.545 Å, rel. 17
71.65 deg, d = 1.317 Å, rel. 13
73.28 deg, d = 1.292 Å, rel. 29

---

2.
For Ca2VIr, DFT lattice parameters and positions (GGA-PBE) gives the theoretical PXRD pattern in this record (Cu Kα).
Kinematic intensities with the Lorentz-polarization factor, no thermal factor.

Crystal structure
abc: 7.7586 7.7586 7.7586
angles: 95.35 95.35 144.43
Atoms (fractional coordinates):
Ca 0.3750 0.2151 0.3401
Ca 0.7849 0.1250 0.1599
Ca 0.8750 0.0349 0.6599
Ca 0.9651 0.6250 0.8401
V 0.2500 0.7500 0.5000
V 0.5000 0.5000 0.0000
Ir 0.0000 0.0000 0.0000
Ir 0.7500 0.2500 0.5000

The 12 most intense peaks (10 to 90 degrees two-theta), low angle first:
16.97 deg, d = 5.224 Å, rel. 100
20.58 deg, d = 4.316 Å, rel. 49
24.09 deg, d = 3.694 Å, rel. 39
26.79 deg, d = 3.327 Å, rel. 15
34.33 deg, d = 2.612 Å, rel. 25
36.34 deg, d = 2.472 Å, rel. 16
38.54 deg, d = 2.336 Å, rel. 45
39.96 deg, d = 2.256 Å, rel. 30
40.36 deg, d = 2.235 Å, rel. 19
47.20 deg, d = 1.926 Å, rel. 36
59.65 deg, d = 1.550 Å, rel. 18
65.29 deg, d = 1.429 Å, rel. 14

---

3.
For CaY3Ir8, DFT lattice parameters and positions (GGA-PBE) gives the theoretical PXRD pattern in this record (Cu Kα).
Kinematic intensities with the Lorentz-polarization factor, no thermal factor.

Crystal structure
abc: 9.2974 9.2974 9.2974
angles: 33.54 33.54 33.54
Atoms (fractional coordinates):
Ca 0.0000 0.0000 0.0000
Y 0.1237 0.1237 0.1237
Y 0.5008 0.5008 0.5008
Y 0.6271 0.6271 0.6271
Ir 0.0628 0.0628 0.5616
Ir 0.0628 0.5616 0.0628
Ir 0.0645 0.5629 0.5629
Ir 0.3130 0.3130 0.3130
Ir 0.5616 0.0628 0.0628
Ir 0.5629 0.0645 0.5629
Ir 0.5629 0.5629 0.0645
Ir 0.8129 0.8129 0.8129

The 12 most intense peaks (10 to 90 degrees two-theta), low angle first:
20.27 deg, d = 4.382 Å, rel. 52
33.39 deg, d = 2.683 Å, rel. 8
39.38 deg, d = 2.288 Å, rel. 100
41.21 deg, d = 2.191 Å, rel. 71
47.95 deg, d = 1.897 Å, rel. 22
52.56 deg, d = 1.741 Å, rel. 14
63.72 deg, d = 1.461 Å, rel. 32
70.15 deg, d = 1.342 Å, rel. 32
73.88 deg, d = 1.283 Å, rel. 10
83.53 deg, d = 1.157 Å, rel. 12
84.72 deg, d = 1.144 Å, rel. 28
89.46 deg, d = 1.095 Å, rel. 5